Structure and simulated powder diffraction line list of NdHoBr2O2 (a crystal structure in OQMD, relaxed with PBE; Cu Kα (λ = 1.5418 Å)).
Neutral-atom scattering factors, no anomalous dispersion.

Top 10 peaks for 10 to 90 degrees two-theta, by angle:
(0 0 1), 10.50 deg, d = 8.425 Å, rel. 354; (1 0 1), 25.25 deg, d = 3.527 Å, rel. 77; (1 0 2), 31.33 deg, d = 2.855 Å, rel. 1000; (1 1 0), 32.61 deg, d = 2.746 Å, rel. 432; (1 1 2), 39.16 deg, d = 2.300 Å, rel. 77; (2 0 0), 46.79 deg, d = 1.942 Å, rel. 206; (1 0 4), 49.21 deg, d = 1.851 Å, rel. 88; (1 1 4), 54.94 deg, d = 1.671 Å, rel. 164; (2 1 2), 57.39 deg, d = 1.605 Å, rel. 354; (3 0 2), 77.08 deg, d = 1.237 Å, rel. 75

Structure:
abc: 3.8831 3.8831 8.4252
angles: 90.00 90.00 90.00
Fractional positions:
Nd (0.0000, 0.0000, 0.0000)
Ho (0.5000, 0.5000, 0.2795)
Br (0.0000, 0.0000, 0.4748)
Br (0.5000, 0.5000, 0.8048)
O (0.0000, 0.5000, 0.1498)
O (0.5000, 0.0000, 0.1498)